Theoretical XRD peak list of Hf4HPb3 for Cu Kα X-rays, from a cell relaxed with GGA-PBE.
Kinematic intensities with the Lorentz-polarization factor, no thermal factor.

The 12 most intense peaks (2θ = 10–90°), low angle first:
- d 3.936, rel. 8
- d 2.645, rel. 100
- d 2.559, rel. 20
- d 2.290, rel. 7
- d 2.211, rel. 17
- d 2.159, rel. 13
- d 1.673, rel. 11
- d 1.650, rel. 8
- d 1.545, rel. 9
- d 1.493, rel. 10
- d 1.346, rel. 13
- d 1.322, rel. 20

abc: 4.4216 8.6345 10.2368
angles: 90.00 90.00 90.00
Atoms (fractional coordinates):
Hf 0.2500 0.0045 0.1055
Hf 0.2500 0.2500 0.8958
Hf 0.2500 0.4955 0.1055
Hf 0.2500 0.7500 0.8933
Hf 0.7500 0.2500 0.1067
Hf 0.7500 0.5045 0.8945
Hf 0.7500 0.7500 0.1042
Hf 0.7500 0.9955 0.8945
H 0.2500 0.7500 0.0988
H 0.7500 0.2500 0.9012
Pb 0.2500 0.0340 0.6411
Pb 0.2500 0.2500 0.3473
Pb 0.2500 0.4660 0.6411
Pb 0.7500 0.5340 0.3589
Pb 0.7500 0.7500 0.6527
Pb 0.7500 0.9660 0.3589



Theoretical XRD peak list of ScBeOs for Cu Kα X-rays, from a cell relaxed with GGA-PBE.
Kinematic intensities with the Lorentz-polarization factor, no thermal factor.

The 12 most intense peaks (2θ = 10–90°), low angle first:
- d 4.019, rel. 100
- d 3.464, rel. 46
- d 2.566, rel. 12
- d 2.466, rel. 30
- d 2.163, rel. 77
- d 2.092, rel. 36
- d 2.062, rel. 27
- d 2.009, rel. 24
- d 1.621, rel. 16
- d 1.582, rel. 21
- d 1.358, rel. 17
- d 1.241, rel. 15

abc: 4.9672 4.9672 4.9672
angles: 120.46 117.78 91.55
Atoms (fractional coordinates):
Sc 0.3784 0.1284 0.2500
Sc 0.6216 0.8716 0.7500
Be 0.0000 0.0000 0.5000
Be 0.0000 0.5000 0.0000
Os 0.0000 0.5000 0.5000
Os 0.5000 0.5000 0.0000